Entry 1:
The following is a theoretical powder diffraction line list of Y2Be4PdPt3. It was derived from a DFT-relaxed cell (PBE, Alexandria), using Cu Kα.
Kinematic intensities with the Lorentz-polarization factor, no thermal factor.

Top 10 peaks for 2θ = 10–90°, sorted by position:
hkl 0 0 3, 28.1 deg, I = 41
hkl 1 0 2, 29.1 deg, I = 63
hkl 1 1 1, 32.9 deg, I = 100
hkl 1 0 3, 36.0 deg, I = 54
hkl 1 1 2, 36.9 deg, I = 62
hkl 2 0 0, 45.2 deg, I = 54
hkl 1 1 4, 50.0 deg, I = 29
hkl 2 0 3, 54.1 deg, I = 27
hkl 2 1 2, 54.7 deg, I = 23
hkl 2 1 3, 59.1 deg, I = 26

Structural model:
Cell: 4.011 4.011 9.542 Å, 90.00 90.00 90.00°
Space group P-4m2 (No. 115)
Asymmetric unit:
Y1 0.000 0.500 0.247
Be1 0.000 0.000 0.000
Be2 0.000 0.500 0.627
Be3 0.500 0.500 0.000
Pd1 0.000 0.000 0.500
Pt1 0.000 0.500 0.873
Pt2 0.500 0.500 0.500

***

Entry 2:
The following is a theoretical powder diffraction line list of LaPm2Si6. It was derived from a DFT-relaxed cell (PBE, Alexandria), using Cu Kα.
Kinematic intensities with the Lorentz-polarization factor, no thermal factor.

Top 10 peaks for 2θ = 10–90°, sorted by position:
hkl 0 0 1, 21.3 deg, I = 11
hkl 1 1 0, 24.8 deg, I = 45
hkl 1 1 1, 32.9 deg, I = 100
hkl 0 0 2, 43.3 deg, I = 10
hkl 3 0 0, 43.7 deg, I = 31
hkl 1 1 2, 50.6 deg, I = 13
hkl 2 2 1, 55.8 deg, I = 22
hkl 3 0 2, 63.2 deg, I = 20
hkl 1 1 3, 72.9 deg, I = 10
hkl 4 1 1, 73.4 deg, I = 19

Structural model:
Cell: 7.1735 7.1735 4.1754 Å, 90.00 90.00 120.00°
Space group P6/mmm (No. 191)
Asymmetric unit:
La1 0.0000 0.0000 0.0000
Pm1 0.3333 0.6667 0.0000
Si1 0.0000 0.3358 0.5000

***

Entry 3:
The following is a theoretical powder diffraction line list of CePr15Er4. It was derived from a DFT-relaxed cell (PBE, Alexandria), using Cu Kα.
Kinematic intensities with the Lorentz-polarization factor, no thermal factor.

Top 10 peaks for 2θ = 10–90°, sorted by position:
hkl 1 1 5, 29.8 deg, I = 100
hkl 2 0 0, 34.5 deg, I = 34
hkl 0 0 10, 34.7 deg, I = 17
hkl 2 2 0, 49.7 deg, I = 12
hkl 2 0 10, 49.8 deg, I = 24
hkl 3 1 5, 59.0 deg, I = 29
hkl 1 1 15, 59.2 deg, I = 14
hkl 2 2 10, 62.0 deg, I = 12
hkl 3 1 15, 80.8 deg, I = 12
hkl 4 2 0, 83.2 deg, I = 11

Structural model:
Cell: 5.193 5.193 25.860 Å, 90.00 90.00 90.00°
Space group P4/mmm (No. 123)
Asymmetric unit:
Ce1 0.000 0.000 0.000
Pr1 0.000 0.500 0.100
Pr2 0.000 0.500 0.300
Pr3 0.000 0.500 0.500
Pr4 0.500 0.500 0.000
Pr5 0.500 0.500 0.201
Pr6 0.500 0.500 0.400
Er1 0.000 0.000 0.200
Er2 0.000 0.000 0.400

***

Entry 4:
The following is a theoretical powder diffraction line list of Zn11Ir2. It was derived from a DFT-relaxed cell (PBE, Alexandria), using Cu Kα.
Kinematic intensities with the Lorentz-polarization factor, no thermal factor.

Top 10 peaks for 2θ = 10–90°, sorted by position:
hkl 1 1 0, 13.7 deg, I = 6
hkl 2 0 0, 19.4 deg, I = 6
hkl 2 1 1, 23.8 deg, I = 20
hkl 3 3 0, 41.9 deg, I = 100
hkl 3 3 2, 46.5 deg, I = 6
hkl 4 2 2, 48.7 deg, I = 8
hkl 6 0 0, 60.7 deg, I = 10
hkl 4 4 4, 71.4 deg, I = 6
hkl 6 3 3, 76.4 deg, I = 20
hkl 7 4 1, 86.3 deg, I = 12

Structural model:
Cell: 9.158 9.158 9.158 Å, 90.00 90.00 90.00°
Space group I-43m (No. 217)
Asymmetric unit:
Zn1 0.000 0.000 0.357
Zn2 0.044 0.306 0.306
Zn3 0.104 0.104 0.104
Ir1 0.174 0.174 0.826

***

Entry 5:
The following is a theoretical powder diffraction line list of ScBiMo2H. It was derived from a DFT-relaxed cell (PBE, Alexandria), using Cu Kα.
Kinematic intensities with the Lorentz-polarization factor, no thermal factor.

Top 10 peaks for 2θ = 10–90°, sorted by position:
hkl 1 0 0, 17.4 deg, I = 55
hkl 1 0 1, 31.3 deg, I = 70
hkl 2 0 0, 35.2 deg, I = 83
hkl 1 1 1, 36.0 deg, I = 100
hkl 2 1 0, 39.5 deg, I = 16
hkl 2 1 1, 47.8 deg, I = 44
hkl 2 2 0, 50.7 deg, I = 29
hkl 3 1 1, 63.7 deg, I = 38
hkl 2 0 2, 65.2 deg, I = 27
hkl 2 2 2, 76.4 deg, I = 17

Structural model:
Cell: 5.098 5.098 3.456 Å, 90.00 90.00 90.00°
Space group P4/mmm (No. 123)
Asymmetric unit:
Sc1 0.000 0.000 0.000
Bi1 0.500 0.500 0.500
Mo1 0.000 0.500 0.000
H1 0.000 0.000 0.500

***

Entry 6:
The following is a theoretical powder diffraction line list of Mg2TlTe. It was derived from a DFT-relaxed cell (PBE, Alexandria), using Cu Kα.
Kinematic intensities with the Lorentz-polarization factor, no thermal factor.

Top 10 peaks for 2θ = 10–90°, sorted by position:
hkl 0 0 1, 14.1 deg, I = 21
hkl 1 0 -1, 23.9 deg, I = 46
hkl 0 1 1, 26.0 deg, I = 76
hkl 1 0 1, 27.6 deg, I = 33
hkl 0 0 2, 28.4 deg, I = 43
hkl 1 1 0, 30.8 deg, I = 100
hkl 0 1 2, 36.0 deg, I = 23
hkl 1 1 -2, 39.9 deg, I = 35
hkl 0 2 0, 44.2 deg, I = 20
hkl 1 1 2, 44.7 deg, I = 24

Structural model:
Cell: 4.169 4.097 6.362 Å, 90.00 98.81 90.00°
Space group Pm (No. 6)
Asymmetric unit:
Mg1 0.000 0.000 0.000
Mg2 0.456 0.500 0.376
Tl1 0.983 0.000 0.503
Te1 0.483 0.500 0.914

***

Entry 7:
The following is a theoretical powder diffraction line list of NdTmPa4. It was derived from a DFT-relaxed cell (PBE, Alexandria), using Cu Kα.
Kinematic intensities with the Lorentz-polarization factor, no thermal factor.

Top 10 peaks for 2θ = 10–90°, sorted by position:
hkl 1 1 1, 17.6 deg, I = 19
hkl 2 2 0, 29.0 deg, I = 17
hkl 3 1 1, 34.1 deg, I = 100
hkl 2 2 2, 35.7 deg, I = 53
hkl 4 0 0, 41.4 deg, I = 11
hkl 5 1 1, 54.7 deg, I = 36
hkl 4 4 0, 60.0 deg, I = 33
hkl 5 3 3, 70.9 deg, I = 12
hkl 6 2 2, 71.8 deg, I = 22
hkl 7 3 1, 85.6 deg, I = 23

Structural model:
Cell: 8.716 8.716 8.716 Å, 90.00 90.00 90.00°
Space group F-43m (No. 216)
Asymmetric unit:
Nd1 0.000 0.000 0.000
Tm1 0.250 0.250 0.250
Pa1 0.125 0.125 0.625

***

Entry 8:
The following is a theoretical powder diffraction line list of NaAg12Au7. It was derived from a DFT-relaxed cell (PBE, Alexandria), using Cu Kα.
Kinematic intensities with the Lorentz-polarization factor, no thermal factor.

Top 10 peaks for 2θ = 10–90°, sorted by position:
hkl 0 2 1, 20.2 deg, I = 27
hkl 1 0 4, 37.3 deg, I = 45
hkl 3 1 2, 37.7 deg, I = 48
hkl 4 0 1, 37.8 deg, I = 100
hkl 0 3 3, 38.7 deg, I = 75
hkl 0 2 4, 40.6 deg, I = 19
hkl 0 4 2, 41.0 deg, I = 22
hkl 3 2 1, 41.1 deg, I = 23
hkl 2 2 3, 41.9 deg, I = 17
hkl 2 3 2, 44.2 deg, I = 22

Structural model:
Cell: 11.3198 11.3198 9.9610 Å, 90.00 90.00 120.00°
Space group R-3m (No. 166, hexagonal axes)
Asymmetric unit:
Na1 0.0000 0.0000 0.0000
Ag1 0.0000 0.2616 0.5000
Ag2 0.0859 0.1719 0.2569
Au1 0.0000 0.0000 0.5000
Au2 0.0482 0.5241 0.6273

***

Entry 9:
The following is a theoretical powder diffraction line list of La2PuCrN4. It was derived from a DFT-relaxed cell (PBE, Alexandria), using Cu Kα.
Kinematic intensities with the Lorentz-polarization factor, no thermal factor.

Top 10 peaks for 2θ = 10–90°, sorted by position:
hkl 0 2 3, 26.1 deg, I = 83
hkl 0 0 4, 28.4 deg, I = 48
hkl 0 4 0, 30.2 deg, I = 51
hkl 1 1 2, 30.5 deg, I = 100
hkl 1 3 1, 35.3 deg, I = 48
hkl 1 3 2, 37.5 deg, I = 67
hkl 0 4 4, 42.0 deg, I = 27
hkl 1 1 5, 45.3 deg, I = 33
hkl 1 3 5, 50.6 deg, I = 27
hkl 2 2 3, 60.0 deg, I = 25

Structural model:
Cell: 3.453 11.824 12.558 Å, 90.00 90.00 90.00°
Space group Cmcm (No. 63)
Asymmetric unit:
La1 0.000 0.134 0.042
Pu1 0.000 0.391 0.250
Cr1 0.000 0.331 0.750
N1 0.000 0.089 0.250
N2 0.000 0.222 0.644
N3 0.000 0.500 0.000

***

Entry 10:
The following is a theoretical powder diffraction line list of Tb4Ge6Ir7. It was derived from a DFT-relaxed cell (PBE, Alexandria), using Cu Kα.
Kinematic intensities with the Lorentz-polarization factor, no thermal factor.

Top 10 peaks for 2θ = 10–90°, sorted by position:
hkl 2 1 1, 25.9 deg, I = 25
hkl 2 2 0, 30.0 deg, I = 12
hkl 2 2 2, 36.9 deg, I = 100
hkl 3 2 1, 40.0 deg, I = 42
hkl 4 0 0, 42.9 deg, I = 71
hkl 3 3 2, 50.8 deg, I = 20
hkl 4 4 0, 62.3 deg, I = 40
hkl 6 1 1, 68.6 deg, I = 12
hkl 6 2 2, 74.7 deg, I = 30
hkl 6 3 1, 76.7 deg, I = 13

Structural model:
Cell: 8.428 8.428 8.428 Å, 90.00 90.00 90.00°
Space group Im-3m (No. 229)
Asymmetric unit:
Tb1 0.250 0.250 0.250
Ge1 0.000 0.000 0.319
Ir1 0.000 0.000 0.000
Ir2 0.000 0.250 0.500

***

> Number 3 is which compound?

CePr15Er4